This entry pairs a crystal structure of Li2HgPbCl6 with its calculated XRD peak list. Radiation: Cu Kα (weighted mean of Kα1 and Kα2). Structure: a structure optimized by DFT (PBE).

Cell and atoms:
```
10
Lattice="3.401 1.963 6.121 -3.401 1.963 6.121 0.000 -3.927 6.121" Properties=species:S:1:pos:R:3 pbc="T T T"
Li 0.000 0.000 0.000
Li 0.000 0.000 9.064
Hg 0.000 0.000 3.665
Pb 0.000 0.000 12.857
Cl -2.137 0.369 7.839
Cl -1.193 -1.799 10.841
Cl 0.749 -2.036 7.839
Cl -0.961 1.933 10.841
Cl 1.389 1.666 7.839
Cl 2.154 -0.134 10.841
```

Main lines, low angle first (10 to 80 degrees two-theta):
two_theta	I (rel.)
17.89	100
24.58	54
26.20	27
31.91	35
36.24	23
39.62	44
41.75	26
42.25	15
45.27	24
46.24	21


This entry pairs a crystal structure of Ac2SO5 with its calculated XRD peak list. Radiation: Cu Kα (weighted mean of Kα1 and Kα2). Structure: a structure optimized by DFT (PBE).

Cell and atoms:
```
16
Lattice="5.673 0.000 0.000 0.000 5.673 0.000 0.000 0.000 7.243" Properties=species:S:1:pos:R:3 pbc="T T T"
Ac 0.000 2.837 0.000
Ac 0.000 2.837 3.621
Ac 2.837 0.000 0.000
Ac 2.837 0.000 3.621
S 0.000 0.000 1.802
S 2.837 2.837 5.424
O 0.000 0.000 3.394
O 1.324 1.324 1.819
O 1.324 4.349 1.819
O 1.512 1.512 5.441
O 1.512 4.161 5.441
O 2.837 2.837 7.016
O 4.161 1.512 5.441
O 4.161 4.161 5.441
O 4.349 1.324 1.819
O 4.349 4.349 1.819
```

Main lines, low angle first (10 to 80 degrees two-theta):
two_theta	I (rel.)
22.16	97
24.58	31
31.54	49
33.33	100
40.39	67
45.21	31
50.90	23
52.13	19
55.69	18
57.31	44


This entry pairs a crystal structure of Hf4GeOs with its calculated XRD peak list. Radiation: Cu Kα (weighted mean of Kα1 and Kα2). Structure: a structure optimized by DFT (PBE).

Cell and atoms:
```
12
Lattice="-4.259 4.259 4.037 4.259 -4.259 4.037 4.259 4.259 -4.037" Properties=species:S:1:pos:R:3 pbc="T T T"
Hf 0.000 1.620 0.000
Hf 2.522 0.000 1.935
Hf 5.996 0.000 1.935
Hf 4.259 2.522 -0.083
Hf 0.000 1.737 3.953
Hf -1.620 4.259 2.018
Hf 1.620 4.259 2.018
Hf 0.000 6.898 0.000
Ge 4.259 0.000 3.960
Ge 0.000 0.000 5.978
Os 0.000 0.000 1.981
Os 0.000 4.259 3.999
```

Main lines, low angle first (10 to 80 degrees two-theta):
two_theta	I (rel.)
20.86	37
30.51	100
33.26	34
40.25	47
42.45	25
44.91	21
50.79	45
53.18	14
57.02	15
63.51	15


This entry pairs a crystal structure of V2CrSi6 with its calculated XRD peak list. Radiation: Cu Kα (weighted mean of Kα1 and Kα2). Structure: a structure optimized by DFT (PBE).

Cell and atoms:
```
9
Lattice="2.256 -3.926 0.000 2.256 3.926 0.000 0.000 0.000 6.345" Properties=species:S:1:pos:R:3 pbc="T T T"
V 1.128 1.963 1.056
V 1.128 -1.963 5.288
Cr 0.000 0.000 3.172
Si 1.146 0.636 5.276
Si 1.146 -0.636 1.069
Si 2.256 1.292 3.172
Si 2.256 -1.292 3.172
Si 3.365 0.636 1.069
Si 3.365 -0.636 5.276
```

Main lines, low angle first (10 to 80 degrees two-theta):
two_theta	I (rel.)
26.75	25
39.82	16
42.39	100
42.54	50
42.75	55
49.46	61
49.59	32
72.80	19
74.26	17
79.47	14


This entry pairs a crystal structure of Ce8Ir6Pb with its calculated XRD peak list. Radiation: Cu Kα (weighted mean of Kα1 and Kα2). Structure: a structure optimized by DFT (PBE).

Cell and atoms:
```
15
Lattice="10.316 0.000 0.000 -5.158 8.934 0.000 0.000 0.000 4.046" Properties=species:S:1:pos:R:3 pbc="T T T"
Ce -1.122 2.916 0.960
Ce -2.071 8.447 0.960
Ce 1.964 2.430 3.086
Ce 0.000 5.956 3.015
Ce 5.158 2.978 1.031
Ce 3.194 6.504 0.960
Ce 7.229 0.486 3.086
Ce 6.280 6.018 3.086
Ir -2.213 5.567 1.045
Ir 1.443 4.233 1.045
Ir 4.388 0.867 3.001
Ir 0.770 8.067 1.045
Ir 3.715 4.700 3.001
Ir 7.371 3.366 3.001
Pb 0.000 0.000 2.023
```

Main lines, low angle first (10 to 80 degrees two-theta):
two_theta	I (rel.)
29.79	37
30.01	26
34.60	100
36.26	40
41.52	28
42.80	17
44.80	16
46.59	21
58.94	17
78.60	24


This entry pairs a crystal structure of Li2Pm3Tl3 with its calculated XRD peak list. Radiation: Cu Kα (weighted mean of Kα1 and Kα2). Structure: a structure optimized by DFT (PBE).

Cell and atoms:
```
16
Lattice="17.957 0.000 0.000 0.000 4.672 0.000 -1.378 0.000 4.794" Properties=species:S:1:pos:R:3 pbc="T T T"
Li 4.018 0.000 1.164
Li 3.583 2.336 3.630
Li 12.996 2.336 1.164
Li 12.562 0.000 3.630
Pm 0.000 0.000 0.000
Pm 1.644 0.000 3.075
Pm 5.957 2.336 1.719
Pm 8.979 2.336 0.000
Pm 10.623 2.336 3.075
Pm 14.935 0.000 1.719
Tl -0.689 2.336 2.397
Tl 2.523 2.336 0.732
Tl 5.077 0.000 4.062
Tl 8.290 0.000 2.397
Tl 11.502 0.000 0.732
Tl 14.056 2.336 4.062
```

Main lines, low angle first (10 to 80 degrees two-theta):
two_theta	I (rel.)
28.14	50
31.09	25
33.49	100
36.01	26
38.54	22
48.30	15
53.76	17
60.04	16
63.14	16
66.52	14


This entry pairs a crystal structure of Pm7TeI12 with its calculated XRD peak list. Radiation: Cu Kα (weighted mean of Kα1 and Kα2). Structure: a structure optimized by DFT (PBE).

Cell and atoms:
```
20
Lattice="8.076 4.663 3.545 -8.076 4.663 3.545 0.000 -9.325 3.545" Properties=species:S:1:pos:R:3 pbc="T T T"
Pm 0.000 0.000 0.000
Pm -1.715 -1.656 3.600
Pm -0.577 2.313 3.600
Pm 2.292 -0.657 3.600
Pm -2.292 0.657 7.036
Pm 0.577 -2.313 7.036
Pm 1.715 1.656 7.036
Te 0.000 0.000 5.318
I -2.583 0.736 1.683
I 0.654 -2.605 1.683
I -4.347 -1.102 5.289
I -1.219 -4.316 5.347
I 1.929 1.869 1.683
I -3.128 3.214 5.347
I 3.128 -3.214 5.289
I -1.929 -1.869 8.953
I 1.219 4.316 5.289
I 4.347 1.102 5.347
I -0.654 2.605 8.953
I 2.583 -0.736 8.953
```

Main lines, low angle first (10 to 80 degrees two-theta):
two_theta	I (rel.)
10.96	19
24.42	11
28.48	100
40.26	37
41.16	37
50.05	19
58.94	12
66.10	16
67.37	16
73.80	11